# MgScVS4
Simulated XRD peak list, Cu Ka. Input: a GGA-PBE-relaxed structure.

Structure:
a b c (Å): 7.374 7.440 10.453
angles (deg): 90.00 90.00 90.00
Space group Imma (No. 74)
Asymmetric unit:
Mg (0.000, 0.250, 0.126) x4
Sc (0.000, 0.000, 0.500) x4
V (0.250, 0.250, 0.750) x4
S (0.000, 0.028, 0.747) x8
S (0.239, 0.250, 0.515) x8

The 6 most intense peaks (10 to 90 degrees two-theta), by angle:
index, 2θ/deg, Rel. int.
0 1 1, 14.64, 56
0 1 3, 28.22, 32
1 0 3, 28.33, 35
2 2 0, 34.27, 100
0 1 5, 45.06, 24
2 2 4, 49.26, 66

=====

# Mg2ScW3S8
Simulated XRD peak list, Cu Ka. Input: a GGA-PBE-relaxed structure.

Structure:
a b c (Å): 7.061 7.070 7.450
angles (deg): 90.30 118.19 119.74
Space group P1 (No. 1)
Asymmetric unit:
Mg (0.000, 0.000, 0.000) x1
Mg (0.490, 0.246, 0.732) x1
Sc (0.344, 0.670, 0.010) x1
W (0.223, 0.609, 0.412) x1
W (0.806, 0.193, 0.411) x1
W (0.817, 0.604, 0.418) x1
S (0.266, 0.416, 0.679) x1
S (0.277, 0.852, 0.688) x1
S (0.319, 0.913, 0.229) x1
S (0.325, 0.403, 0.228) x1
S (0.741, 0.866, 0.605) x1
S (0.768, 0.378, 0.142) x1
S (0.829, 0.907, 0.230) x1
S (0.838, 0.413, 0.686) x1

The 6 most intense peaks (10 to 90 degrees two-theta), by angle:
index, 2θ/deg, Rel. int.
0 0 1, 14.20, 100
1 -1 0, 15.22, 61
-1 1 1, 17.30, 24
0 2 -1, 29.50, 28
2 0 0, 34.95, 44
0 2 2, 49.00, 24

=====

# MgScWS4
Simulated XRD peak list, Cu Ka. Input: a GGA-PBE-relaxed structure.

Structure:
a b c (Å): 7.450 7.531 10.453
angles (deg): 90.00 90.00 90.00
Space group Imma (No. 74)
Asymmetric unit:
Mg (0.000, 0.250, 0.127) x4
Sc (0.250, 0.250, 0.750) x4
W (0.000, 0.000, 0.500) x4
S (0.000, 0.013, 0.738) x8
S (0.223, 0.250, 0.502) x8

The 6 most intense peaks (10 to 90 degrees two-theta), by angle:
index, 2θ/deg, Rel. int.
1 0 1, 14.60, 100
1 2 1, 27.89, 50
1 0 3, 28.27, 28
2 2 0, 33.85, 44
0 0 4, 34.32, 22
2 2 4, 48.96, 49

=====

# Mg4Se3S
Simulated XRD peak list, Cu Ka. Input: a GGA-PBE-relaxed structure.

Structure:
a b c (Å): 4.1922 4.1922 41.0780
angles (deg): 90.00 90.00 120.00
Space group R3m (No. 160, hexagonal axes)
Asymmetric unit:
Mg (0.0000, 0.0000, 0.0000) x3
Mg (0.0000, 0.0000, 0.2483) x3
Mg (0.0000, 0.0000, 0.4978) x3
Mg (0.0000, 0.0000, 0.7459) x3
Se (0.0000, 0.0000, 0.1855) x3
Se (0.0000, 0.0000, 0.4347) x3
Se (0.0000, 0.0000, 0.9366) x3
S (0.0000, 0.0000, 0.6853) x3

The 6 most intense peaks (10 to 90 degrees two-theta), by angle:
index, 2θ/deg, Rel. int.
1 0 4, 26.03, 100
0 1 8, 30.15, 17
1 1 0, 43.16, 61
0 2 4, 51.09, 44
2 1 4, 69.05, 17
3 0 0, 79.14, 19

=====

# Y6MgSi2S14
Simulated XRD peak list, Cu Ka. Input: a GGA-PBE-relaxed structure.

Structure:
a b c (Å): 9.9562 9.9562 5.6204
angles (deg): 90.00 90.00 120.00
Space group P3 (No. 143)
Asymmetric unit:
Y (0.0231, 0.5672, 0.0000) x3
Y (0.3098, 0.0996, 0.5033) x3
Mg (0.6667, 0.3333, 0.2641) x1
Si (0.0000, 0.0000, 0.9163) x1
Si (0.3333, 0.6667, 0.4118) x1
S (0.0000, 0.0000, 0.2908) x1
S (0.0780, 0.8533, 0.7646) x3
S (0.1865, 0.4420, 0.2615) x3
S (0.3333, 0.6667, 0.7874) x1
S (0.4159, 0.1703, 0.0253) x3
S (0.5014, 0.4183, 0.5084) x3

The 6 most intense peaks (10 to 90 degrees two-theta), by angle:
index, 2θ/deg, Rel. int.
2 -1 1, 23.88, 50
0 2 1, 26.05, 100
1 3 0, 37.61, 81
2 0 2, 38.23, 58
3 1 1, 41.02, 69
1 2 2, 42.48, 51

=====

# SmMg2V3S8
Simulated XRD peak list, Cu Ka. Input: a GGA-PBE-relaxed structure.

Structure:
a b c (Å): 7.351 7.365 7.524
angles (deg): 90.02 119.23 119.92
Space group P-1 (No. 2)
Asymmetric unit:
Sm (0.000, 0.000, 0.000) x1
Mg (0.253, 0.627, 0.882) x2
V (0.000, 0.000, 0.500) x1
V (0.500, 0.000, 0.500) x1
V (0.500, 0.500, 0.500) x1
S (0.036, 0.258, 0.294) x2
S (0.036, 0.776, 0.293) x2
S (0.477, 0.240, 0.716) x2
S (0.482, 0.741, 0.707) x2

The 6 most intense peaks (10 to 90 degrees two-theta), by angle:
index, 2θ/deg, Rel. int.
1 0 -1, 14.69, 94
0 1 -2, 27.72, 33
-2 1 2, 28.18, 78
-2 2 2, 34.08, 100
0 2 2, 48.38, 43
2 2 -2, 49.50, 33